Diffraction record for HoMg8Ni4. The X-ray diffraction stick pattern is theoretical, not measured: it uses the PBE geometry in Alexandria and Cu Kα (λ = 1.5418 Å).
No peak broadening, texture or thermal motion is included.

Largest 10 diffraction maxima, by intensity, 2θ = 10–80°:
- 39.02 deg, d = 2.309 Å, I = 1000
- 38.72 deg, d = 2.326 Å, I = 742
- 27.23 deg, d = 3.275 Å, I = 409
- 13.58 deg, d = 6.523 Å, I = 371
- 27.35 deg, d = 3.261 Å, I = 354
- 19.08 deg, d = 4.652 Å, I = 336
- 33.56 deg, d = 2.670 Å, I = 312
- 56.17 deg, d = 1.638 Å, I = 305
- 30.65 deg, d = 2.917 Å, I = 194
- 63.79 deg, d = 1.459 Å, I = 179

Lattice parameters (Å, degrees): 7.057 7.057 7.057 98.38 98.38 135.13
Fractional coordinates of all 13 atoms:
Ho 0.000 0.000 0.000
Mg 0.000 0.336 0.336
Mg 0.000 0.664 0.664
Mg 0.280 0.500 0.780
Mg 0.336 0.000 0.336
Mg 0.500 0.280 0.780
Mg 0.500 0.720 0.220
Mg 0.664 0.000 0.664
Mg 0.720 0.500 0.220
Ni 0.000 0.000 0.500
Ni 0.000 0.500 0.000
Ni 0.500 0.000 0.000
Ni 0.500 0.500 0.500

=====

Diffraction record for Ho2Mg3Ni2. The X-ray diffraction stick pattern is theoretical, not measured: it uses the PBE geometry in Alexandria and Cu Kα (λ = 1.5418 Å).
No peak broadening, texture or thermal motion is included.

Largest 10 diffraction maxima, by intensity, 2θ = 10–80°:
- 11.93 deg, d = 7.417 Å, I = 1000
- 36.36 deg, d = 2.471 Å, I = 489
- 28.03 deg, d = 3.184 Å, I = 463
- 33.94 deg, d = 2.641 Å, I = 397
- 35.53 deg, d = 2.527 Å, I = 390
- 35.41 deg, d = 2.535 Å, I = 231
- 41.23 deg, d = 2.189 Å, I = 183
- 45.15 deg, d = 2.008 Å, I = 158
- 47.18 deg, d = 1.926 Å, I = 158
- 70.51 deg, d = 1.336 Å, I = 143

Lattice parameters (Å, degrees): 5.441 5.441 7.474 96.60 96.60 41.47
Fractional coordinates of all 7 atoms:
Ho 0.124 0.124 0.367
Ho 0.876 0.876 0.633
Mg 0.186 0.186 0.853
Mg 0.500 0.500 0.000
Mg 0.814 0.814 0.147
Ni 0.418 0.418 0.363
Ni 0.582 0.582 0.637